Record 1
# La2AlNi9H
Computed XRD peak list, CuKα. Input: DFT lattice parameters and positions (PBE).

Cell lengths 4.977, 8.090, 5.010 Å; angles 90.00, 119.39, 90.00 degrees
Space group Pm (No. 6)
Inequivalent atoms, fractional coordinates:
La: 0.000 0.234 0.000 (multiplicity 2)
Al: 0.497 0.500 0.497 (multiplicity 1)
Ni: 0.001 0.000 0.501 (multiplicity 1)
Ni: 0.002 0.500 0.509 (multiplicity 1)
Ni: 0.336 0.248 0.671 (multiplicity 2)
Ni: 0.500 0.000 0.998 (multiplicity 1)
Ni: 0.502 0.000 0.500 (multiplicity 1)
Ni: 0.502 0.500 0.002 (multiplicity 1)
Ni: 0.665 0.247 0.322 (multiplicity 2)
H: 0.925 0.500 0.788 (multiplicity 1)

The 10 most intense peaks (2θ from 10° to 90°), by angle:
h k l, 2theta, d [Å], I (rel.)
0 2 1, 30.17, 2.963, 56.6
1 2 -1, 30.30, 2.950, 45.5
1 0 -2, 35.85, 2.505, 31.8
2 0 -1, 36.10, 2.488, 31.8
2 0 0, 41.66, 2.168, 27.2
2 0 -2, 41.91, 2.155, 27.7
1 2 1, 42.26, 2.139, 100.0
1 2 -2, 42.45, 2.129, 78.4
2 2 -1, 42.66, 2.119, 76.9
0 4 0, 44.81, 2.022, 64.7

***

Record 2
# LiAlH2
Computed XRD peak list, CuKα. Input: DFT lattice parameters and positions (PBE).

Cell lengths 6.718, 6.718, 7.711 Å; angles 90.00, 90.00, 90.00 degrees
Space group I4_1/a (No. 88, origin choice 2)
Inequivalent atoms, fractional coordinates:
Li: 0.000 0.000 0.000 (multiplicity 8)
Al: 0.000 0.000 0.500 (multiplicity 8)
H: 0.131 0.484 0.704 (multiplicity 16)

The 10 most intense peaks (2θ from 10° to 90°), by angle:
h k l, 2theta, d [Å], I (rel.)
1 0 1, 17.51, 5.066, 89.6
2 1 1, 31.97, 2.800, 35.9
2 0 2, 35.44, 2.533, 100.0
2 2 0, 37.88, 2.375, 43.7
2 1 3, 46.49, 1.953, 10.1
0 0 4, 47.14, 1.928, 12.3
4 0 0, 54.64, 1.680, 14.9
2 2 4, 62.00, 1.497, 20.4
4 2 2, 66.84, 1.400, 33.6
4 0 4, 75.00, 1.266, 11.5

***

Record 3
# Na2LiAlH6
Computed XRD peak list, CuKα. Input: DFT lattice parameters and positions (PBE).

Cell lengths 7.344, 7.344, 7.344 Å; angles 90.00, 90.00, 90.00 degrees
Space group Fm-3m (No. 225)
Inequivalent atoms, fractional coordinates:
Na: 0.250 0.250 0.250 (multiplicity 8)
Li: 0.000 0.000 0.000 (multiplicity 4)
Al: 0.000 0.000 0.500 (multiplicity 4)
H: 0.000 0.000 0.262 (multiplicity 24)

The 10 most intense peaks (2θ from 10° to 90°), by angle:
h k l, 2theta, d [Å], I (rel.)
1 1 1, 20.95, 4.240, 21.7
2 0 0, 24.24, 3.672, 3.3
2 2 0, 34.55, 2.596, 100.0
3 1 1, 40.75, 2.214, 9.5
2 2 2, 42.65, 2.120, 3.4
4 0 0, 49.66, 1.836, 20.9
3 3 1, 54.46, 1.685, 3.8
4 2 2, 61.90, 1.499, 34.3
4 4 0, 72.86, 1.298, 11.2
6 2 0, 83.20, 1.161, 13.3

***

Record 4
# Na2LiAlH6
Computed XRD peak list, CuKα. Input: DFT lattice parameters and positions (PBE).

Cell lengths 5.183, 5.235, 9.001 Å; angles 90.00, 125.14, 90.00 degrees
Space group P2_1/c (No. 14)
Inequivalent atoms, fractional coordinates:
Na: 0.245 0.026 0.250 (multiplicity 4)
Li: 0.500 0.000 0.000 (multiplicity 2)
Al: 0.000 0.000 0.500 (multiplicity 2)
H: 0.165 0.232 0.964 (multiplicity 4)
H: 0.237 0.703 0.968 (multiplicity 4)
H: 0.299 0.017 0.735 (multiplicity 4)

The 10 most intense peaks (2θ from 10° to 90°), by angle:
h k l, 2theta, d [Å], I (rel.)
0 1 1, 20.82, 4.266, 17.0
1 0 0, 20.96, 4.238, 16.7
0 2 0, 34.26, 2.618, 24.4
1 1 1, 34.45, 2.603, 100.0
2 0 -2, 34.61, 2.592, 24.8
0 0 4, 49.51, 1.841, 29.7
1 3 -3, 61.47, 1.508, 15.5
2 0 2, 61.87, 1.500, 17.4
2 2 -6, 72.63, 1.302, 10.4
1 1 5, 82.93, 1.164, 12.5

***

Record 5
# LiAl2H2O4
Computed XRD peak list, CuKα. Input: DFT lattice parameters and positions (PBE).

Cell lengths 16.370, 2.935, 3.821 Å; angles 90.00, 90.87, 90.00 degrees
Space group Cm (No. 8)
Inequivalent atoms, fractional coordinates:
Li: 0.000 0.000 0.000 (multiplicity 2)
Al: 0.296 0.500 0.985 (multiplicity 2)
Al: 0.398 0.000 0.493 (multiplicity 2)
H: 0.039 0.000 0.508 (multiplicity 2)
H: 0.170 0.000 0.955 (multiplicity 2)
O: 0.230 0.000 0.980 (multiplicity 2)
O: 0.325 0.500 0.487 (multiplicity 2)
O: 0.386 0.000 0.992 (multiplicity 2)
O: 0.476 0.500 0.497 (multiplicity 2)

The 10 most intense peaks (2θ from 10° to 90°), by angle:
h k l, 2theta, d [Å], I (rel.)
2 0 0, 10.81, 8.184, 100.0
2 0 -1, 25.58, 3.482, 6.1
2 0 1, 25.89, 3.442, 6.1
3 1 0, 34.70, 2.585, 2.9
5 1 0, 41.31, 2.185, 13.8
0 0 2, 47.60, 1.910, 5.8
7 1 0, 49.86, 1.829, 5.5
0 2 0, 63.38, 1.468, 2.1
5 1 -2, 64.47, 1.445, 4.2
5 1 2, 65.19, 1.431, 3.0